1.
Structure and calculated X-ray powder pattern of HfMgInAg (a PBE-relaxed structure; Cu Kα (λ = 1.5418 Å)).
No peak broadening, texture or thermal motion is included.

```
data_HfMgInAg
_chemical_formula_sum 'Hf1 Mg1 In1 Ag1'
_symmetry_space_group_name_H-M 'P 4 m m'
_symmetry_Int_Tables_number 99
_cell_length_a 3.212
_cell_length_b 3.212
_cell_length_c 7.963
_cell_angle_alpha 90.00
_cell_angle_beta 90.00
_cell_angle_gamma 90.00
loop_
_symmetry_equiv_pos_as_xyz
'x,y,z'
'-y,x,z'
'-x,-y,z'
'y,-x,z'
'-x,y,z'
'y,x,z'
'x,-y,z'
'-y,-x,z'
loop_
_atom_site_label
_atom_site_type_symbol
_atom_site_fract_x
_atom_site_fract_y
_atom_site_fract_z
Hf1 Hf 0.000 0.000 0.000
Mg1 Mg 0.000 0.000 0.461
In1 In 0.500 0.500 0.733
Ag1 Ag 0.500 0.500 0.244
```

Main lines, most intense first (2θ from 10° to 80°):
- d = 2.500 Å, 2θ = 35.92°, I = 100.0, (1 0 2)
- d = 7.963 Å, 2θ = 11.11°, I = 42.7, (0 0 1)
- d = 2.271 Å, 2θ = 39.68°, I = 38.5, (1 1 0)
- d = 1.351 Å, 2θ = 69.58°, I = 27.9, (2 1 2)
- d = 2.979 Å, 2θ = 30.00°, I = 22.2, (1 0 1)
- d = 1.497 Å, 2θ = 61.99°, I = 18.9, (1 1 4)
- d = 1.606 Å, 2θ = 57.37°, I = 12.8, (2 0 0)
- d = 1.991 Å, 2θ = 45.57°, I = 12.1, (0 0 4)
- d = 1.250 Å, 2θ = 76.16°, I = 10.3, (2 0 4)
- d = 1.227 Å, 2θ = 77.88°, I = 9.0, (1 0 6)

***

2.
Structure and calculated X-ray powder pattern of HfAgIr (a PBE-relaxed structure; Cu Kα (λ = 1.5418 Å)).
No peak broadening, texture or thermal motion is included.

```
data_HfAgIr
_chemical_formula_sum 'Hf8 Ag8 Ir8'
_symmetry_space_group_name_H-M 'F m m m'
_symmetry_Int_Tables_number 69
_symmetry_space_group_name_Hall '-F 2 2'
_cell_length_a 5.409
_cell_length_b 5.412
_cell_length_c 15.013
_cell_angle_alpha 90.00
_cell_angle_beta 90.00
_cell_angle_gamma 90.00
loop_
_atom_site_label
_atom_site_type_symbol
_atom_site_fract_x
_atom_site_fract_y
_atom_site_fract_z
Hf1 Hf 0.000 0.000 0.181
Ag1 Ag 0.250 0.250 0.000
Ir1 Ir 0.000 0.000 0.357
```

Main lines, most intense first (2θ from 10° to 80°):
- d = 2.545 Å, 2θ = 35.26°, I = 100.0, (2 0 2)
- d = 2.195 Å, 2θ = 41.13°, I = 86.9, (2 0 4)
- d = 1.913 Å, 2θ = 47.53°, I = 67.7, (2 2 0)
- d = 2.705 Å, 2θ = 33.11°, I = 51.5, (2 0 0)
- d = 2.502 Å, 2θ = 35.89°, I = 48.2, (0 0 6)
- d = 1.520 Å, 2θ = 60.96°, I = 41.1, (2 2 6)
- d = 2.362 Å, 2θ = 38.10°, I = 38.4, (1 1 5)
- d = 1.871 Å, 2θ = 48.67°, I = 24.2, (1 1 7)
- d = 1.353 Å, 2θ = 69.49°, I = 21.7, (4 0 0)
- d = 1.285 Å, 2θ = 73.70°, I = 19.5, (1 1 11)

***

3.
Structure and calculated X-ray powder pattern of HfAgIr3 (a PBE-relaxed structure; Cu Kα (λ = 1.5418 Å)).
No peak broadening, texture or thermal motion is included.

```
data_HfAgIr3
_chemical_formula_sum 'Hf1 Ag1 Ir3'
_symmetry_space_group_name_H-M 'P m -3 m'
_symmetry_Int_Tables_number 221
_symmetry_space_group_name_Hall '-P 4 2 3'
_cell_length_a 4.826
_cell_length_b 4.826
_cell_length_c 4.826
_cell_angle_alpha 90.00
_cell_angle_beta 90.00
_cell_angle_gamma 90.00
loop_
_atom_site_label
_atom_site_type_symbol
_atom_site_fract_x
_atom_site_fract_y
_atom_site_fract_z
Hf1 Hf 0.000 0.000 0.000
Ag1 Ag 0.500 0.500 0.500
Ir1 Ir 0.000 0.000 0.500
```

Main lines, most intense first (2θ from 10° to 80°):
- d = 2.413 Å, 2θ = 37.27°, I = 100.0, (2 0 0)
- d = 1.706 Å, 2θ = 53.73°, I = 70.2, (2 2 0)
- d = 2.786 Å, 2θ = 32.13°, I = 68.8, (1 1 1)
- d = 4.826 Å, 2θ = 18.39°, I = 49.7, (1 0 0)
- d = 1.455 Å, 2θ = 63.99°, I = 28.6, (3 1 1)
- d = 2.158 Å, 2θ = 41.86°, I = 25.5, (2 1 0)
- d = 1.393 Å, 2θ = 67.20°, I = 23.9, (2 2 2)
- d = 1.609 Å, 2θ = 57.28°, I = 13.2, (3 0 0)
- d = 1.206 Å, 2θ = 79.44°, I = 11.3, (4 0 0)
- d = 3.412 Å, 2θ = 26.12°, I = 7.0, (1 1 0)

***

4.
Structure and calculated X-ray powder pattern of K3HfAg (a PBE-relaxed structure; Cu Kα (λ = 1.5418 Å)).
No peak broadening, texture or thermal motion is included.

```
data_K3HfAg
_chemical_formula_sum 'K3 Hf1 Ag1'
_symmetry_space_group_name_H-M 'P m -3 m'
_symmetry_Int_Tables_number 221
_symmetry_space_group_name_Hall '-P 4 2 3'
_cell_length_a 6.325
_cell_length_b 6.325
_cell_length_c 6.325
_cell_angle_alpha 90.00
_cell_angle_beta 90.00
_cell_angle_gamma 90.00
loop_
_atom_site_label
_atom_site_type_symbol
_atom_site_fract_x
_atom_site_fract_y
_atom_site_fract_z
K1 K 0.000 0.000 0.500
Hf1 Hf 0.500 0.500 0.500
Ag1 Ag 0.000 0.000 0.000
```

Main lines, most intense first (2θ from 10° to 80°):
- d = 4.472 Å, 2θ = 19.85°, I = 100.0, (1 1 0)
- d = 3.163 Å, 2θ = 28.22°, I = 60.3, (2 0 0)
- d = 2.582 Å, 2θ = 34.74°, I = 50.1, (2 1 1)
- d = 2.236 Å, 2θ = 40.33°, I = 44.7, (2 2 0)
- d = 1.690 Å, 2θ = 54.27°, I = 28.2, (3 2 1)
- d = 3.652 Å, 2θ = 24.37°, I = 24.1, (1 1 1)
- d = 2.000 Å, 2θ = 45.34°, I = 24.0, (3 1 0)
- d = 1.414 Å, 2θ = 66.06°, I = 19.5, (4 2 0)
- d = 1.826 Å, 2θ = 49.95°, I = 15.6, (2 2 2)
- d = 1.240 Å, 2θ = 76.85°, I = 15.3, (5 1 0)

***

5.
Structure and calculated X-ray powder pattern of K4Hf3AgS8 (a PBE-relaxed structure; Cu Kα (λ = 1.5418 Å)).
No peak broadening, texture or thermal motion is included.

```
data_K4Hf3AgS8
_chemical_formula_sum 'K12 Hf9 Ag3 S24'
_symmetry_space_group_name_H-M 'R -3 m'
_symmetry_Int_Tables_number 166
_symmetry_space_group_name_Hall '-R 3 2"'
_cell_length_a 7.6926
_cell_length_b 7.6926
_cell_length_c 21.8895
_cell_angle_alpha 90.00
_cell_angle_beta 90.00
_cell_angle_gamma 120.00
loop_
_atom_site_label
_atom_site_type_symbol
_atom_site_fract_x
_atom_site_fract_y
_atom_site_fract_z
K1 K 0.0000 0.0000 0.0000
K2 K 0.0000 0.5000 0.0000
Hf1 Hf 0.0000 0.5000 0.5000
Ag1 Ag 0.0000 0.0000 0.5000
S1 S 0.0000 0.0000 0.2319
S2 S 0.0202 0.5101 0.7685
```

Main lines, most intense first (2θ from 10° to 80°):
- d = 2.845 Å, 2θ = 31.44°, I = 100.0, (0 2 4)
- d = 7.296 Å, 2θ = 12.13°, I = 91.3, (0 0 3)
- d = 3.187 Å, 2θ = 28.00°, I = 36.4, (2 0 2)
- d = 2.114 Å, 2θ = 42.77°, I = 35.6, (2 0 8)
- d = 1.923 Å, 2θ = 47.26°, I = 31.8, (2 2 0)
- d = 3.293 Å, 2θ = 27.08°, I = 26.1, (0 2 1)
- d = 2.280 Å, 2θ = 39.53°, I = 22.0, (0 2 7)
- d = 3.648 Å, 2θ = 24.40°, I = 20.8, (0 0 6)
- d = 1.860 Å, 2θ = 48.98°, I = 17.3, (2 2 3)
- d = 1.593 Å, 2θ = 57.87°, I = 16.1, (4 0 4)

***

6.
Structure and calculated X-ray powder pattern of K2HfAgTe4 (a PBE-relaxed structure; Cu Kα (λ = 1.5418 Å)).
No peak broadening, texture or thermal motion is included.

```
data_K2HfAgTe4
_chemical_formula_sum 'K16 Hf8 Ag8 Te32'
_symmetry_space_group_name_H-M 'F d d d'
_symmetry_Int_Tables_number 70
_cell_length_a 6.446
_cell_length_b 14.225
_cell_length_c 26.820
_cell_angle_alpha 90.00
_cell_angle_beta 90.00
_cell_angle_gamma 90.00
loop_
_symmetry_equiv_pos_as_xyz
'x,y,z'
'-x,-y,-z'
'-x+1/4,-y+1/4,z'
'x+1/4,y+1/4,-z'
'x,-y+1/4,-z+1/4'
'-x,y+1/4,z+1/4'
'-x+1/4,y,-z+1/4'
'x+1/4,-y,z+1/4'
'x,y+1/2,z+1/2'
'-x,-y+1/2,-z+1/2'
'-x+1/4,-y+3/4,z+1/2'
'x+1/4,y+3/4,-z+1/2'
'x,-y+3/4,-z+3/4'
'-x,y+3/4,z+3/4'
'-x+1/4,y+1/2,-z+3/4'
'x+1/4,-y+1/2,z+3/4'
'x+1/2,y,z+1/2'
'-x+1/2,-y,-z+1/2'
'-x+3/4,-y+1/4,z+1/2'
'x+3/4,y+1/4,-z+1/2'
'x+1/2,-y+1/4,-z+3/4'
'-x+1/2,y+1/4,z+3/4'
'-x+3/4,y,-z+3/4'
'x+3/4,-y,z+3/4'
'x+1/2,y+1/2,z'
'-x+1/2,-y+1/2,-z'
'-x+3/4,-y+3/4,z'
'x+3/4,y+3/4,-z'
'x+1/2,-y+3/4,-z+1/4'
'-x+1/2,y+3/4,z+1/4'
'-x+3/4,y+1/2,-z+1/4'
'x+3/4,-y+1/2,z+1/4'
loop_
_atom_site_label
_atom_site_type_symbol
_atom_site_fract_x
_atom_site_fract_y
_atom_site_fract_z
K1 K 0.125 0.125 0.306
Hf1 Hf 0.125 0.125 0.125
Ag1 Ag 0.125 0.125 0.625
Te1 Te 0.110 0.261 0.434
```

Main lines, most intense first (2θ from 10° to 80°):
- d = 6.283 Å, 2θ = 14.09°, I = 100.0, (0 2 2)
- d = 2.351 Å, 2θ = 38.28°, I = 74.2, (2 4 2)
- d = 6.705 Å, 2θ = 13.20°, I = 71.4, (0 0 4)
- d = 3.111 Å, 2θ = 28.69°, I = 67.3, (1 3 5)
- d = 2.614 Å, 2θ = 34.30°, I = 64.4, (2 0 6)
- d = 4.908 Å, 2θ = 18.08°, I = 60.0, (1 1 3)
- d = 3.784 Å, 2θ = 23.51°, I = 59.4, (0 2 6)
- d = 2.439 Å, 2θ = 36.85°, I = 56.9, (0 4 8)
- d = 3.512 Å, 2θ = 25.36°, I = 52.6, (1 3 3)
- d = 1.778 Å, 2θ = 51.40°, I = 41.3, (0 8 0)

***

7.
Structure and calculated X-ray powder pattern of KHfAg2Te4 (a PBE-relaxed structure; Cu Kα (λ = 1.5418 Å)).
No peak broadening, texture or thermal motion is included.

```
data_KHfAg2Te4
_chemical_formula_sum 'K2 Hf2 Ag4 Te8'
_symmetry_space_group_name_H-M 'I 2 2 2'
_symmetry_Int_Tables_number 23
_cell_length_a 7.258
_cell_length_b 8.139
_cell_length_c 9.154
_cell_angle_alpha 90.00
_cell_angle_beta 90.00
_cell_angle_gamma 90.00
loop_
_symmetry_equiv_pos_as_xyz
'x,y,z'
'-x,-y,z'
'x,-y,-z'
'-x,y,-z'
'x+1/2,y+1/2,z+1/2'
'-x+1/2,-y+1/2,z+1/2'
'x+1/2,-y+1/2,-z+1/2'
'-x+1/2,y+1/2,-z+1/2'
loop_
_atom_site_label
_atom_site_type_symbol
_atom_site_fract_x
_atom_site_fract_y
_atom_site_fract_z
K1 K 0.000 0.000 0.000
Hf1 Hf 0.000 0.000 0.500
Ag1 Ag 0.000 0.500 0.162
Te1 Te 0.204 0.210 0.330
```

Main lines, most intense first (2θ from 10° to 80°):
- d = 3.496 Å, 2θ = 25.48°, I = 100.0, (1 1 2)
- d = 6.083 Å, 2θ = 14.56°, I = 72.9, (0 1 1)
- d = 2.708 Å, 2θ = 33.07°, I = 68.9, (2 2 0)
- d = 2.314 Å, 2θ = 38.92°, I = 32.4, (1 2 3)
- d = 2.108 Å, 2θ = 42.90°, I = 29.4, (1 1 4)
- d = 3.116 Å, 2θ = 28.64°, I = 29.0, (2 1 1)
- d = 2.222 Å, 2θ = 40.60°, I = 26.6, (1 3 2)
- d = 1.896 Å, 2θ = 47.99°, I = 20.0, (3 0 3)
- d = 2.069 Å, 2θ = 43.76°, I = 19.7, (3 1 2)
- d = 2.114 Å, 2θ = 42.77°, I = 18.9, (2 3 1)

***

8.
Structure and calculated X-ray powder pattern of LiHfZr2Ag (a PBE-relaxed structure; Cu Kα (λ = 1.5418 Å)).
No peak broadening, texture or thermal motion is included.

```
data_LiHfZr2Ag
_chemical_formula_sum 'Li1 Hf1 Zr2 Ag1'
_symmetry_space_group_name_H-M 'P 4/m m m'
_symmetry_Int_Tables_number 123
_symmetry_space_group_name_Hall '-P 4 2'
_cell_length_a 4.787
_cell_length_b 4.787
_cell_length_c 4.440
_cell_angle_alpha 90.00
_cell_angle_beta 90.00
_cell_angle_gamma 90.00
loop_
_atom_site_label
_atom_site_type_symbol
_atom_site_fract_x
_atom_site_fract_y
_atom_site_fract_z
Li1 Li 0.000 0.000 0.000
Hf1 Hf 0.500 0.500 0.500
Zr1 Zr 0.000 0.500 0.000
Ag1 Ag 0.000 0.000 0.500
```

Main lines, most intense first (2θ from 10° to 80°):
- d = 2.692 Å, 2θ = 33.29°, I = 100.0, (1 1 1)
- d = 2.393 Å, 2θ = 37.58°, I = 37.4, (2 0 0)
- d = 1.433 Å, 2θ = 65.10°, I = 27.7, (3 1 1)
- d = 1.628 Å, 2θ = 56.54°, I = 22.3, (2 0 2)
- d = 2.220 Å, 2θ = 40.64°, I = 15.0, (0 0 2)
- d = 1.692 Å, 2θ = 54.20°, I = 12.7, (2 2 0)
- d = 1.346 Å, 2θ = 69.89°, I = 11.7, (2 2 2)
- d = 1.356 Å, 2θ = 69.30°, I = 11.5, (1 1 3)
- d = 3.385 Å, 2θ = 26.33°, I = 4.6, (1 1 0)
- d = 4.440 Å, 2θ = 20.00°, I = 3.4, (0 0 1)

***

9.
Structure and calculated X-ray powder pattern of Hf2MnAg2S6 (a PBE-relaxed structure; Cu Kα (λ = 1.5418 Å)).
No peak broadening, texture or thermal motion is included.

```
data_Hf2MnAg2S6
_chemical_formula_sum 'Hf4 Mn2 Ag4 S12'
_symmetry_space_group_name_H-M 'C 1 2/m 1'
_symmetry_Int_Tables_number 12
_cell_length_a 6.036
_cell_length_b 10.655
_cell_length_c 7.666
_cell_angle_alpha 90.00
_cell_angle_beta 99.20
_cell_angle_gamma 90.00
loop_
_symmetry_equiv_pos_as_xyz
'x,y,z'
'-x,-y,-z'
'-x,y,-z'
'x,-y,z'
'x+1/2,y+1/2,z'
'-x+1/2,-y+1/2,-z'
'-x+1/2,y+1/2,-z'
'x+1/2,-y+1/2,z'
loop_
_atom_site_label
_atom_site_type_symbol
_atom_site_fract_x
_atom_site_fract_y
_atom_site_fract_z
Hf1 Hf 0.000 0.158 0.000
Mn1 Mn 0.000 0.500 0.000
Ag1 Ag 0.000 0.353 0.500
S1 S 0.112 0.343 0.814
S2 S 0.146 0.000 0.806
```

Main lines, most intense first (2θ from 10° to 80°):
- d = 2.913 Å, 2θ = 30.69°, I = 100.0, (1 3 -1)
- d = 7.567 Å, 2θ = 11.69°, I = 70.8, (0 0 1)
- d = 3.784 Å, 2θ = 23.51°, I = 47.8, (0 0 2)
- d = 2.979 Å, 2θ = 29.99°, I = 45.4, (2 0 0)
- d = 4.596 Å, 2θ = 19.31°, I = 42.5, (1 1 -1)
- d = 2.178 Å, 2θ = 41.46°, I = 38.6, (2 0 2)
- d = 1.870 Å, 2θ = 48.69°, I = 35.6, (1 3 3)
- d = 2.027 Å, 2θ = 44.70°, I = 34.4, (1 3 -3)
- d = 4.031 Å, 2θ = 22.05°, I = 34.3, (1 1 1)
- d = 2.752 Å, 2θ = 32.53°, I = 33.7, (1 3 1)

***

10.
Structure and calculated X-ray powder pattern of Na2HfAgTe4 (a PBE-relaxed structure; Cu Kα (λ = 1.5418 Å)).
No peak broadening, texture or thermal motion is included.

```
data_Na2HfAgTe4
_chemical_formula_sum 'Na2 Hf1 Ag1 Te4'
_symmetry_space_group_name_H-M 'P 1 2/m 1'
_symmetry_Int_Tables_number 10
_cell_length_a 7.726
_cell_length_b 4.179
_cell_length_c 7.964
_cell_angle_alpha 90.00
_cell_angle_beta 111.38
_cell_angle_gamma 90.00
loop_
_symmetry_equiv_pos_as_xyz
'x,y,z'
'-x,-y,-z'
'-x,y,-z'
'x,-y,z'
loop_
_atom_site_label
_atom_site_type_symbol
_atom_site_fract_x
_atom_site_fract_y
_atom_site_fract_z
Na1 Na 0.000 0.000 0.000
Na2 Na 0.500 0.500 0.000
Hf1 Hf 0.000 0.500 0.500
Ag1 Ag 0.500 0.000 0.500
Te1 Te 0.214 0.000 0.737
Te2 Te 0.260 0.500 0.308
```

Main lines, most intense first (2θ from 10° to 80°):
- d = 3.037 Å, 2θ = 29.41°, I = 100.0, (1 1 1)
- d = 7.416 Å, 2θ = 11.93°, I = 76.2, (0 0 1)
- d = 3.238 Å, 2θ = 27.54°, I = 56.4, (2 0 -2)
- d = 2.191 Å, 2θ = 41.21°, I = 38.6, (3 1 -1)
- d = 2.240 Å, 2θ = 40.25°, I = 34.0, (1 1 -3)
- d = 2.379 Å, 2θ = 37.81°, I = 20.5, (1 1 2)
- d = 1.756 Å, 2θ = 52.09°, I = 19.0, (2 2 -2)
- d = 2.089 Å, 2θ = 43.30°, I = 18.7, (0 2 0)
- d = 2.210 Å, 2θ = 40.82°, I = 15.9, (2 0 2)
- d = 2.080 Å, 2θ = 43.51°, I = 10.3, (3 1 0)

***

11.
Structure and calculated X-ray powder pattern of Hf2NbAg2 (a PBE-relaxed structure; Cu Kα (λ = 1.5418 Å)).
No peak broadening, texture or thermal motion is included.

```
data_Hf2NbAg2
_chemical_formula_sum 'Hf4 Nb2 Ag4'
_symmetry_space_group_name_H-M 'C m m m'
_symmetry_Int_Tables_number 65
_symmetry_space_group_name_Hall '-C 2 2'
_cell_length_a 3.666
_cell_length_b 17.267
_cell_length_c 3.216
_cell_angle_alpha 90.00
_cell_angle_beta 90.00
_cell_angle_gamma 90.00
loop_
_atom_site_label
_atom_site_type_symbol
_atom_site_fract_x
_atom_site_fract_y
_atom_site_fract_z
Hf1 Hf 0.000 0.096 0.000
Nb1 Nb 0.000 0.500 0.500
Ag1 Ag 0.000 0.310 0.500
```

Main lines, most intense first (2θ from 10° to 80°):
- d = 2.514 Å, 2θ = 35.72°, I = 100.0, (1 5 0)
- d = 2.394 Å, 2θ = 37.57°, I = 87.4, (1 1 1)
- d = 2.145 Å, 2θ = 42.14°, I = 43.4, (0 6 1)
- d = 2.579 Å, 2θ = 34.79°, I = 34.7, (0 4 1)
- d = 1.355 Å, 2θ = 69.38°, I = 28.0, (1 5 2)
- d = 1.317 Å, 2θ = 71.69°, I = 21.9, (1 11 1)
- d = 1.393 Å, 2θ = 67.18°, I = 21.4, (2 6 1)
- d = 1.833 Å, 2θ = 49.74°, I = 20.0, (2 0 0)
- d = 1.727 Å, 2θ = 53.04°, I = 18.9, (0 10 0)
- d = 3.014 Å, 2θ = 29.64°, I = 14.1, (0 2 1)

***

12.
Structure and calculated X-ray powder pattern of HfAgPO5 (a PBE-relaxed structure; Cu Kα (λ = 1.5418 Å)).
No peak broadening, texture or thermal motion is included.

```
data_HfAgPO5
_chemical_formula_sum 'Hf4 Ag4 P4 O20'
_symmetry_space_group_name_H-M 'C 1 2/c 1'
_symmetry_Int_Tables_number 15
_cell_length_a 7.276
_cell_length_b 8.725
_cell_length_c 7.724
_cell_angle_alpha 90.00
_cell_angle_beta 117.65
_cell_angle_gamma 90.00
loop_
_symmetry_equiv_pos_as_xyz
'x,y,z'
'-x,-y,-z'
'-x,y,-z+1/2'
'x,-y,z+1/2'
'x+1/2,y+1/2,z'
'-x+1/2,-y+1/2,-z'
'-x+1/2,y+1/2,-z+1/2'
'x+1/2,-y+1/2,z+1/2'
loop_
_atom_site_label
_atom_site_type_symbol
_atom_site_fract_x
_atom_site_fract_y
_atom_site_fract_z
Hf1 Hf 0.000 0.000 0.000
Ag1 Ag 0.000 0.322 0.250
P1 P 0.000 0.327 0.750
O1 O 0.000 0.070 0.250
O2 O 0.063 0.225 0.622
O3 O 0.183 0.435 0.880
```

Main lines, most intense first (2θ from 10° to 80°):
- d = 3.523 Å, 2θ = 25.28°, I = 100.0, (1 1 -2)
- d = 3.222 Å, 2θ = 27.68°, I = 70.5, (2 0 0)
- d = 2.651 Å, 2θ = 33.81°, I = 66.5, (1 3 0)
- d = 5.180 Å, 2θ = 17.12°, I = 63.9, (1 1 0)
- d = 2.692 Å, 2θ = 33.28°, I = 48.0, (0 2 2)
- d = 2.581 Å, 2θ = 34.76°, I = 29.8, (2 2 -2)
- d = 2.300 Å, 2θ = 39.16°, I = 24.0, (3 1 -2)
- d = 2.464 Å, 2θ = 36.47°, I = 22.3, (1 1 2)
- d = 1.728 Å, 2θ = 52.99°, I = 20.8, (3 3 0)
- d = 1.772 Å, 2θ = 51.58°, I = 19.9, (2 2 2)